No. 1
Diffraction record for ZnCoP2O7. The powder XRD pattern is computed, not measured: it uses the PBE+U geometry in the Materials Project and a wavelength of 1.5418 Å.

Top 10 peaks for 2θ from 10° to 90°, most intense first:
| h k l | 2θ/deg | Rel. int. |
| --- | --- | --- |
| 0 0 2 | 27.43 | 100 |
| 2 0 1 | 30.08 | 69 |
| 0 2 1 | 28.39 | 34 |
| 1 2 1 | 29.59 | 34 |
| 1 1 2 | 27.17 | 28 |
| 2 0 -1 | 34.62 | 25 |
| 1 1 4 | 52.14 | 20 |
| 1 1 1 | 19.41 | 20 |
| 0 3 1 | 42.75 | 19 |
| 0 2 -1 | 36.97 | 18 |

abc: 6.2730 6.4255 7.0618
angles: 69.36 77.40 81.08
Space group P1 (No. 1)
Symmetry-distinct sites (fractional):
Zn  0.0000  0.0000  0.0000 x1
Zn  0.1344  0.4322  0.6009 x1
Co  0.3995  0.6220  0.0114 x1
Co  0.7359  0.8084  0.6042 x1
P  0.2319  0.9232  0.5726 x1
P  0.4629  0.0700  0.1255 x1
P  0.6674  0.3614  0.4769 x1
P  0.9031  0.5051  0.0332 x1
O  0.0159  0.3428  0.9181 x1
O  0.0637  0.6498  0.0554 x1
O  0.0691  0.7813  0.5472 x1
O  0.1153  0.0897  0.6823 x1
O  0.3240  0.9255  0.0711 x1
O  0.3353  0.0789  0.3526 x1
O  0.4104  0.7687  0.6828 x1
O  0.4394  0.4728  0.4344 x1
O  0.4483  0.3124  0.9936 x1
O  0.6706  0.1200  0.6136 x1
O  0.6936  0.9613  0.1567 x1
O  0.7196  0.6583  0.9279 x1
O  0.8030  0.5054  0.5342 x1
O  0.8045  0.3455  0.2541 x1

No. 2
Diffraction record for ZnCo3P4O14. The powder XRD pattern is computed, not measured: it uses the PBE+U geometry in the Materials Project and a wavelength of 1.5418 Å.

Top 10 peaks for 2θ from 10° to 90°, most intense first:
| h k l | 2θ/deg | Rel. int. |
| --- | --- | --- |
| 1 2 1 | 30.51 | 100 |
| 0 3 1 | 36.98 | 69 |
| 2 1 -2 | 29.26 | 66 |
| 2 1 -3 | 34.26 | 57 |
| 1 1 2 | 30.21 | 51 |
| 2 1 1 | 33.85 | 47 |
| 0 0 2 | 19.93 | 43 |
| 0 3 3 | 47.28 | 38 |
| 0 1 3 | 32.38 | 34 |
| 2 1 3 | 49.24 | 32 |

abc: 7.2334 7.5749 9.5703
angles: 90.00 111.43 90.00
Space group P2_1/c (No. 14)
Symmetry-distinct sites (fractional):
Zn  0.0000  0.0000  0.0000 x2
Co  0.3137  0.1318  0.4809 x4
Co  0.5000  0.0000  0.0000 x2
P  0.0828  0.0724  0.7047 x4
P  0.3653  0.7077  0.1880 x4
O  0.1236  0.2069  0.6000 x4
O  0.1305  0.5313  0.8177 x4
O  0.1601  0.6170  0.1720 x4
O  0.2026  0.1128  0.8751 x4
O  0.3044  0.6157  0.6024 x4
O  0.4676  0.5874  0.1099 x4
O  0.4795  0.7137  0.3587 x4

No. 3
Diffraction record for ZnCoPO5. The powder XRD pattern is computed, not measured: it uses the PBE+U geometry in the Materials Project and a wavelength of 1.5418 Å.

Top 10 peaks for 2θ from 10° to 90°, most intense first:
| h k l | 2θ/deg | Rel. int. |
| --- | --- | --- |
| 1 1 0 | 27.58 | 100 |
| 0 1 -2 | 27.74 | 87 |
| 1 -2 0 | 35.64 | 56 |
| 1 0 -2 | 27.93 | 36 |
| 1 0 0 | 17.91 | 32 |
| 2 1 0 | 43.89 | 29 |
| 1 -1 2 | 36.33 | 21 |
| 1 1 -4 | 52.39 | 21 |
| 2 0 2 | 54.27 | 20 |
| 2 -1 0 | 36.68 | 20 |

abc: 5.2992 5.5049 6.9977
angles: 106.68 106.73 96.73
Space group P1 (No. 1)
Symmetry-distinct sites (fractional):
Zn  0.0000  0.0000  0.0000 x1
Zn  0.4964  0.7502  0.5073 x1
Co  0.7484  0.3758  0.7533 x1
Co  0.7500  0.3761  0.2534 x1
P  0.0787  0.9946  0.4970 x1
P  0.4197  0.7588  0.0112 x1
O  0.0762  0.6989  0.4033 x1
O  0.1178  0.6497  0.8713 x1
O  0.3791  0.1050  0.6393 x1
O  0.4241  0.0545  0.1055 x1
O  0.5074  0.6391  0.1881 x1
O  0.6113  0.7186  0.8760 x1
O  0.6624  0.4489  0.5024 x1
O  0.8375  0.3030  0.0052 x1
O  0.8832  0.0334  0.6289 x1
O  0.9933  0.1140  0.3194 x1

No. 4
Diffraction record for ZnCo2P2O10. The powder XRD pattern is computed, not measured: it uses the PBE+U geometry in the Materials Project and a wavelength of 1.5418 Å.

Top 10 peaks for 2θ from 10° to 90°, most intense first:
| h k l | 2θ/deg | Rel. int. |
| --- | --- | --- |
| 1 1 5 | 30.69 | 100 |
| 1 3 1 | 28.26 | 57 |
| 1 1 3 | 21.93 | 42 |
| 2 2 2 | 32.25 | 36 |
| 2 2 0 | 30.39 | 32 |
| 4 0 4 | 57.08 | 29 |
| 2 2 4 | 37.35 | 28 |
| 3 3 5 | 54.18 | 23 |
| 2 2 6 | 44.73 | 19 |
| 1 3 3 | 32.11 | 19 |

abc: 6.9980 10.8626 16.7693
angles: 90.00 90.00 90.00
Space group Fddd (No. 70, origin choice 2)
Symmetry-distinct sites (fractional):
Zn  0.1250  0.1250  0.1250 x8
Co  0.0000  0.0000  0.5000 x16
P  0.1250  0.1250  0.3329 x16
O  0.0488  0.3613  0.5260 x32
O  0.0908  0.0104  0.8632 x32
O  0.1250  0.1250  0.5413 x16

No. 5
Diffraction record for ZnCoPO5. The powder XRD pattern is computed, not measured: it uses the PBE+U geometry in the Materials Project and a wavelength of 1.5418 Å.

Top 10 peaks for 2θ from 10° to 90°, most intense first:
| h k l | 2θ/deg | Rel. int. |
| --- | --- | --- |
| 1 1 0 | 28.17 | 100 |
| 1 -2 0 | 35.88 | 71 |
| 0 1 -2 | 27.84 | 52 |
| 1 0 -2 | 28.01 | 41 |
| 2 -1 0 | 36.20 | 28 |
| 0 3 0 | 54.77 | 15 |
| 0 2 2 | 53.47 | 15 |
| 1 1 -4 | 52.69 | 15 |
| 1 2 -2 | 41.70 | 13 |
| 3 0 0 | 55.49 | 13 |

abc: 5.3167 5.3919 6.9791
angles: 105.89 105.47 98.87
Space group P1 (No. 1)
Symmetry-distinct sites (fractional):
Zn  0.0000  0.0000  0.0000 x1
Zn  0.3813  0.6737  0.4985 x1
Co  0.6851  0.3315  0.7423 x1
Co  0.6848  0.3317  0.2422 x1
P  0.0216  0.9816  0.4882 x1
P  0.3455  0.6781  0.9938 x1
O  0.0475  0.6221  0.8494 x1
O  0.3185  0.0441  0.6370 x1
O  0.3745  0.4938  0.1291 x1
O  0.3899  0.9744  0.1324 x1
O  0.5423  0.6565  0.8645 x1
O  0.5957  0.4191  0.4924 x1
O  0.7738  0.2428  0.9902 x1
O  0.8199  0.0039  0.6130 x1
O  0.9836  0.6855  0.3535 x1
O  0.9937  0.1623  0.3492 x1

No. 6
Diffraction record for CoPbO3. The powder XRD pattern is computed, not measured: it uses the PBE+U geometry in the Materials Project and a wavelength of 1.5418 Å.

Top 10 peaks for 2θ from 10° to 90°, most intense first:
| h k l | 2θ/deg | Rel. int. |
| --- | --- | --- |
| 0 1 1 | 31.02 | 100 |
| 1 1 -1 | 32.45 | 91 |
| 0 1 0 | 19.56 | 43 |
| 2 0 0 | 45.50 | 40 |
| 2 -1 0 | 37.56 | 34 |
| 2 -3 1 | 56.97 | 33 |
| 0 0 1 | 18.41 | 26 |
| 1 1 1 | 50.26 | 24 |
| 3 0 -2 | 57.92 | 18 |
| 0 1 -3 | 54.26 | 14 |

abc: 5.5124 5.5216 5.7747
angles: 90.10 118.45 119.94
Space group P-1 (No. 2)
Symmetry-distinct sites (fractional):
Co  0.2090  0.3541  0.0632 x2
Pb  0.2229  0.8615  0.5845 x2
O  0.0062  0.4559  0.2403 x2
O  0.2840  0.0499  0.2409 x2
O  0.3089  0.2660  0.7592 x2

No. 7
Diffraction record for CoPbO3. The powder XRD pattern is computed, not measured: it uses the PBE+U geometry in the Materials Project and a wavelength of 1.5418 Å.

Top 10 peaks for 2θ from 10° to 90°, most intense first:
| h k l | 2θ/deg | Rel. int. |
| --- | --- | --- |
| 1 2 2 | 33.19 | 100 |
| 0 0 2 | 23.32 | 36 |
| 0 4 4 | 59.23 | 25 |
| 2 4 0 | 47.75 | 21 |
| 2 0 0 | 33.39 | 19 |
| 3 2 2 | 59.55 | 14 |
| 2 0 2 | 41.09 | 12 |
| 2 4 4 | 69.69 | 11 |
| 0 4 2 | 40.89 | 11 |
| 0 0 4 | 47.57 | 10 |

abc: 5.3676 10.8126 7.6467
angles: 90.00 90.00 90.00
Space group Pbam (No. 55)
Symmetry-distinct sites (fractional):
Co  0.2411  0.1250  0.2500 x8
Pb  0.2252  0.3684  0.0000 x4
Pb  0.2491  0.3811  0.5000 x4
O  0.0000  0.0000  0.3046 x4
O  0.0000  0.5000  0.2998 x4
O  0.0184  0.7556  0.1985 x8
O  0.2365  0.1686  0.5000 x4
O  0.2444  0.5818  0.0000 x4

No. 8
Diffraction record for CoPbO3. The powder XRD pattern is computed, not measured: it uses the PBE+U geometry in the Materials Project and a wavelength of 1.5418 Å.

Top 10 peaks for 2θ from 10° to 90°, most intense first:
| h k l | 2θ/deg | Rel. int. |
| --- | --- | --- |
| 1 2 1 | 33.42 | 100 |
| 0 4 2 | 60.03 | 32 |
| 1 0 1 | 23.39 | 29 |
| 0 0 2 | 33.65 | 25 |
| 2 0 2 | 47.84 | 22 |
| 2 0 0 | 32.99 | 21 |
| 0 2 0 | 23.54 | 16 |
| 0 2 2 | 41.48 | 14 |
| 1 6 1 | 80.28 | 14 |
| 0 4 0 | 48.14 | 13 |

abc: 5.4307 7.5602 5.3263
angles: 90.00 90.00 90.00
Space group Pnma (No. 62)
Symmetry-distinct sites (fractional):
Co  0.0000  0.0000  0.0000 x4
Pb  0.0447  0.2500  0.4889 x4
O  0.0263  0.7500  0.0846 x4
O  0.2145  0.5451  0.7126 x8